# 1
Simulated X-ray powder pattern of La3Ni2As4 for CuKα, from a PBE-relaxed structure.
Kinematic intensities with the Lorentz-polarization factor, no thermal factor.

Top 10 peaks for 15° ≤ 2θ ≤ 90°, in order of rising 2θ:
| 2θ (°) | d_spacing | Rel. int. |
| --- | --- | --- |
| 24.16 | 3.683 | 10 |
| 32.29 | 2.772 | 100 |
| 32.42 | 2.761 | 51 |
| 42.40 | 2.132 | 22 |
| 42.72 | 2.117 | 39 |
| 42.96 | 2.105 | 21 |
| 54.37 | 1.687 | 23 |
| 61.95 | 1.498 | 14 |
| 62.20 | 1.493 | 24 |
| 72.02 | 1.311 | 12 |

Crystal structure
```
9
Lattice="5.5806 -2.1316 0.0000 5.5806 2.1316 0.0000 -1.6215 0.0000 8.2785" Properties=species:S:1:pos:R:3 pbc="T T T"
La 0.0000 0.0000 0.0000
La 3.2845 0.0000 2.7339
La 6.2552 0.0000 5.5446
Ni 3.2245 0.0000 5.9286
Ni 6.3152 0.0000 2.3499
As 0.1855 0.0000 3.1468
As 1.6990 0.0000 7.6754
As 7.8406 0.0000 0.6031
As 9.3541 0.0000 5.1317
```

# 2
Simulated X-ray powder pattern of Sm8Ni2Pt for CuKα, from a PBE-relaxed structure.
Kinematic intensities with the Lorentz-polarization factor, no thermal factor.

Top 10 peaks for 15° ≤ 2θ ≤ 90°, in order of rising 2θ:
| 2θ (°) | d_spacing | Rel. int. |
| --- | --- | --- |
| 26.85 | 3.321 | 41 |
| 29.67 | 3.011 | 61 |
| 30.21 | 2.958 | 100 |
| 31.10 | 2.876 | 85 |
| 31.97 | 2.800 | 92 |
| 33.43 | 2.681 | 93 |
| 33.55 | 2.671 | 66 |
| 34.72 | 2.584 | 55 |
| 36.31 | 2.474 | 72 |
| 38.79 | 2.321 | 63 |

Crystal structure
```
11
Lattice="4.1504 -6.3649 0.0000 4.1504 6.3649 0.0000 -1.9747 0.0000 5.8865" Properties=species:S:1:pos:R:3 pbc="T T T"
Sm 0.0000 0.0000 0.0000
Sm 0.0903 1.6883 3.4526
Sm 2.6751 2.6826 1.1258
Sm 0.0903 -1.6883 3.4526
Sm 3.2323 1.6960 4.7387
Sm 2.6751 -2.6826 1.1258
Sm 3.2323 -1.6960 4.7387
Sm 5.2859 0.0000 2.1877
Ni 1.6618 3.9471 4.0240
Ni 1.6618 -3.9471 4.0240
Pt 0.9979 0.0000 5.8709
```

# 3
Simulated X-ray powder pattern of Sr2In5Au3 for CuKα, from a PBE-relaxed structure.
Kinematic intensities with the Lorentz-polarization factor, no thermal factor.

Top 10 peaks for 15° ≤ 2θ ≤ 90°, in order of rising 2θ:
| 2θ (°) | d_spacing | Rel. int. |
| --- | --- | --- |
| 20.53 | 4.326 | 51 |
| 29.10 | 3.069 | 58 |
| 30.80 | 2.903 | 73 |
| 31.18 | 2.869 | 70 |
| 38.99 | 2.310 | 100 |
| 40.10 | 2.249 | 52 |
| 40.40 | 2.233 | 46 |
| 41.55 | 2.174 | 54 |
| 58.05 | 1.589 | 21 |
| 73.99 | 1.281 | 24 |

Crystal structure
```
20
Lattice="-6.1580 6.4843 3.2924 6.1580 -6.4843 3.2924 6.1580 6.4843 -3.2924" Properties=species:S:1:pos:R:3 pbc="T T T"
Sr 3.0185 1.6878 0.0000
Sr 3.0185 -1.6878 3.2924
Sr 3.1395 8.1721 0.0000
Sr 3.1395 4.7965 3.2924
In 6.1580 -3.2304 1.6462
In 7.9050 1.4445 0.0000
In 0.0000 0.0000 1.6462
In 1.7470 5.0398 0.0000
In 6.1580 3.2304 1.6462
In 0.0000 3.2539 1.6462
In 4.4110 1.4445 3.2924
In 0.0000 0.0000 4.9386
In -1.7470 5.0398 3.2924
In 0.0000 9.7147 1.6462
Au 10.6243 1.6170 0.0000
Au 6.1580 0.0000 1.6462
Au 4.4663 4.8673 0.0000
Au 1.6917 1.6170 3.2924
Au 0.0000 6.4843 1.6462
Au -4.4663 4.8673 3.2924
```

# 4
Simulated X-ray powder pattern of AgICl4 for CuKα, from a PBE-relaxed structure.
Kinematic intensities with the Lorentz-polarization factor, no thermal factor.

Top 10 peaks for 15° ≤ 2θ ≤ 90°, in order of rising 2θ:
| 2θ (°) | d_spacing | Rel. int. |
| --- | --- | --- |
| 15.70 | 5.644 | 89 |
| 21.27 | 4.177 | 100 |
| 24.27 | 3.667 | 32 |
| 28.17 | 3.168 | 31 |
| 33.09 | 2.707 | 60 |
| 33.85 | 2.648 | 19 |
| 39.68 | 2.272 | 70 |
| 47.50 | 1.914 | 20 |
| 52.60 | 1.740 | 28 |
| 55.58 | 1.654 | 24 |

Crystal structure
```
12
Lattice="7.6492 0.0000 0.0000 0.0000 7.6628 0.0000 0.0000 0.0000 8.3550" Properties=species:S:1:pos:R:3 pbc="T T T"
Ag 0.0000 0.0000 0.0000
Ag 0.0000 3.8314 4.1775
I 0.0000 0.0000 4.1775
I 3.8246 0.0000 0.0000
Cl 1.7558 1.8367 4.1775
Cl 1.7558 5.8261 4.1775
Cl 1.9843 1.7561 0.0000
Cl 1.9843 5.9068 0.0000
Cl 5.6649 1.7561 0.0000
Cl 5.6649 5.9068 0.0000
Cl 5.8934 1.8367 4.1775
Cl 5.8934 5.8261 4.1775
```

# 5
Simulated X-ray powder pattern of RbGe2Se4 for CuKα, from a PBE-relaxed structure.
Kinematic intensities with the Lorentz-polarization factor, no thermal factor.

Top 10 peaks for 15° ≤ 2θ ≤ 90°, in order of rising 2θ:
| 2θ (°) | d_spacing | Rel. int. |
| --- | --- | --- |
| 20.67 | 4.298 | 9 |
| 27.24 | 3.274 | 100 |
| 28.57 | 3.125 | 9 |
| 29.39 | 3.039 | 17 |
| 32.21 | 2.779 | 9 |
| 35.52 | 2.527 | 10 |
| 44.16 | 2.051 | 58 |
| 47.29 | 1.922 | 19 |
| 49.79 | 1.831 | 18 |
| 55.43 | 1.658 | 17 |

Crystal structure
```
14
Lattice="8.5958 0.0000 0.0000 0.0000 8.5958 0.0000 0.0000 0.0000 6.2490" Properties=species:S:1:pos:R:3 pbc="T T T"
Rb 0.0000 0.0000 0.0000
Rb 4.2979 4.2979 3.1245
Ge 0.0000 4.2979 1.5623
Ge 0.0000 4.2979 4.6868
Ge 4.2979 0.0000 1.5623
Ge 4.2979 0.0000 4.6868
Se 1.1327 5.8461 3.1245
Se 1.5482 3.1653 0.0000
Se 2.7497 1.1327 3.1245
Se 3.1653 7.0477 0.0000
Se 5.4306 1.5482 0.0000
Se 5.8461 7.4632 3.1245
Se 7.0477 5.4306 0.0000
Se 7.4632 2.7497 3.1245
```

# 6
Simulated X-ray powder pattern of Ti2Mo4W5 for CuKα, from a PBE-relaxed structure.
Kinematic intensities with the Lorentz-polarization factor, no thermal factor.

Top 10 peaks for 15° ≤ 2θ ≤ 90°, in order of rising 2θ:
| 2θ (°) | d_spacing | Rel. int. |
| --- | --- | --- |
| 15.24 | 5.814 | 43 |
| 23.17 | 3.839 | 18 |
| 40.43 | 2.231 | 100 |
| 40.62 | 2.221 | 52 |
| 40.74 | 2.215 | 51 |
| 40.86 | 2.208 | 96 |
| 58.45 | 1.579 | 17 |
| 73.87 | 1.283 | 17 |
| 74.03 | 1.281 | 17 |
| 74.15 | 1.279 | 25 |

Crystal structure
```
11
Lattice="2.7343 0.0000 0.0000 -0.0855 7.6749 0.0000 -0.0384 -0.0605 8.8378" Properties=species:S:1:pos:R:3 pbc="T T T"
Ti 0.0012 0.0048 2.2189
Ti 2.6092 7.6096 6.6189
Mo 0.8659 2.5775 2.2858
Mo 0.8140 6.3141 8.8324
Mo 1.7964 1.3003 0.0054
Mo 1.7446 5.0369 6.5520
W -0.0428 3.8375 0.0000
W 0.8019 6.3314 4.4062
W 0.8456 2.5275 6.5879
W 1.7649 5.0869 2.2499
W 1.8086 1.2831 4.4316
```

# 7
Simulated X-ray powder pattern of Sr3In2As4 for CuKα, from a PBE-relaxed structure.
Kinematic intensities with the Lorentz-polarization factor, no thermal factor.

Top 10 peaks for 15° ≤ 2θ ≤ 90°, in order of rising 2θ:
| 2θ (°) | d_spacing | Rel. int. |
| --- | --- | --- |
| 23.48 | 3.788 | 25 |
| 25.22 | 3.532 | 38 |
| 25.45 | 3.500 | 28 |
| 25.81 | 3.452 | 38 |
| 29.92 | 2.986 | 25 |
| 33.34 | 2.687 | 100 |
| 34.02 | 2.635 | 35 |
| 36.13 | 2.486 | 61 |
| 40.18 | 2.244 | 47 |
| 54.91 | 1.672 | 23 |

Crystal structure
```
18
Lattice="7.0631 0.0000 0.0000 0.0000 16.7762 0.0000 0.0000 0.0000 4.4882" Properties=species:S:1:pos:R:3 pbc="T T T"
Sr 0.0000 0.0000 0.0000
Sr 1.4205 5.0593 2.2441
Sr 2.1110 13.4475 0.0000
Sr 3.5316 8.3881 2.2441
Sr 4.9521 3.3288 0.0000
Sr 5.6426 11.7169 2.2441
In 0.9548 9.8200 0.0000
In 2.5768 1.4319 2.2441
In 4.4863 15.3444 2.2441
In 6.1084 6.9563 0.0000
As 1.6827 2.8066 0.0000
As 1.7286 7.2122 0.0000
As 1.8030 15.6003 2.2441
As 1.8489 11.1948 2.2441
As 5.2143 5.5815 2.2441
As 5.2602 1.1759 2.2441
As 5.3346 9.5641 0.0000
As 5.3804 13.9696 0.0000
```

# 8
Simulated X-ray powder pattern of HoZnTc for CuKα, from a PBE-relaxed structure.
Kinematic intensities with the Lorentz-polarization factor, no thermal factor.

Top 10 peaks for 15° ≤ 2θ ≤ 90°, in order of rising 2θ:
| 2θ (°) | d_spacing | Rel. int. |
| --- | --- | --- |
| 33.05 | 2.711 | 100 |
| 33.36 | 2.686 | 34 |
| 38.27 | 2.352 | 67 |
| 38.47 | 2.340 | 37 |
| 39.42 | 2.286 | 86 |
| 40.01 | 2.253 | 100 |
| 40.70 | 2.217 | 27 |
| 41.48 | 2.177 | 35 |
| 64.14 | 1.452 | 33 |
| 69.34 | 1.355 | 48 |

Crystal structure
```
12
Lattice="5.2328 0.0000 0.0000 0.0000 5.3725 0.0000 0.0000 0.0000 7.8480" Properties=species:S:1:pos:R:3 pbc="T T T"
Ho 0.0000 1.3431 0.9265
Ho 0.0000 4.0293 6.9215
Ho 2.6164 1.3431 2.9975
Ho 2.6164 4.0293 4.8505
Zn 0.0000 0.0000 3.9240
Zn 0.0000 2.6862 3.9240
Zn 2.6164 0.0000 0.0000
Zn 2.6164 2.6862 0.0000
Tc 1.3082 1.3431 5.8860
Tc 1.3082 4.0293 1.9620
Tc 3.9246 1.3431 5.8860
Tc 3.9246 4.0293 1.9620
```

# 9
Simulated X-ray powder pattern of Tb2Sm2YHo4 for CuKα, from a PBE-relaxed structure.
Kinematic intensities with the Lorentz-polarization factor, no thermal factor.

Top 10 peaks for 15° ≤ 2θ ≤ 90°, in order of rising 2θ:
| 2θ (°) | d_spacing | Rel. int. |
| --- | --- | --- |
| 28.92 | 3.088 | 33 |
| 29.54 | 3.023 | 26 |
| 31.19 | 2.867 | 52 |
| 31.95 | 2.802 | 100 |
| 33.64 | 2.664 | 91 |
| 50.85 | 1.796 | 40 |
| 54.87 | 1.673 | 21 |
| 58.18 | 1.586 | 20 |
| 60.87 | 1.522 | 47 |
| 86.97 | 1.120 | 21 |

Crystal structure
```
9
Lattice="9.3274 -1.7961 0.0000 9.3274 1.7961 0.0000 -4.1470 0.0000 8.6019" Properties=species:S:1:pos:R:3 pbc="T T T"
Tb 2.0713 0.0000 1.4108
Tb 12.4365 0.0000 7.1910
Sm 4.1526 0.0000 4.3017
Sm 10.3552 0.0000 4.3001
Y -2.0735 0.0000 4.3009
Ho -0.0068 0.0000 7.1873
Ho 8.2856 0.0000 1.4177
Ho 6.2222 0.0000 7.1842
Ho 14.5146 0.0000 1.4145
```

# 10
Simulated X-ray powder pattern of DyAs2Pd7Pb2 for CuKα, from a PBE-relaxed structure.
Kinematic intensities with the Lorentz-polarization factor, no thermal factor.

Top 10 peaks for 15° ≤ 2θ ≤ 90°, in order of rising 2θ:
| 2θ (°) | d_spacing | Rel. int. |
| --- | --- | --- |
| 27.61 | 3.231 | 26 |
| 31.03 | 2.882 | 74 |
| 31.66 | 2.826 | 33 |
| 34.62 | 2.591 | 65 |
| 34.99 | 2.565 | 62 |
| 36.35 | 2.471 | 64 |
| 44.51 | 2.036 | 100 |
| 44.60 | 2.031 | 37 |
| 64.69 | 1.441 | 37 |
| 73.48 | 1.289 | 25 |

Crystal structure
```
12
Lattice="2.8819 -2.8821 0.0000 2.8819 2.8821 0.0000 -1.6228 0.0000 14.4090" Properties=species:S:1:pos:R:3 pbc="T T T"
Dy 0.0000 0.0000 0.0000
As 1.2517 0.0000 10.8457
As 2.8893 0.0000 3.5634
Pd 1.4496 1.4392 2.1271
Pd 1.3100 0.0000 8.3639
Pd 2.6914 1.4392 12.2819
Pd 2.8819 0.0000 0.0000
Pd 1.4496 -1.4392 2.1271
Pd 2.8309 0.0000 6.0451
Pd 2.6914 -1.4392 12.2819
Pb 0.0093 0.0000 5.6554
Pb 4.1316 0.0000 8.7536
```